1.
Calculated PXRD pattern
Compound: PtAu4
Radiation: Cu Kα (λ = 1.5418 Å)
Structure: a crystal structure in Alexandria, relaxed with PBE
Intensities are scaled so that the largest is 100.

a b c (Å): 4.0730 2.8511 8.0354
angles (deg): 90.00 104.50 90.00
Space group P2/m (No. 10)
Unique sites:
Pt1 0.0000 0.0000 0.0000 [1 per cell]
Au1 0.1899 0.0000 0.3787 [2 per cell]
Au2 0.4043 0.5000 0.8101 [2 per cell]

Principal peaks in the range 15° ≤ 2θ ≤ 90°, low angle first:
(1 0 2), 2.477 Å, I 63
(1 0 -3), 2.469 Å, I 62
(1 1 -1), 2.310 Å, I 100
(0 1 2), 2.300 Å, I 28
(2 0 -1), 2.036 Å, I 38
(0 1 3), 1.918 Å, I 43
(2 1 2), 1.398 Å, I 15
(2 1 -4), 1.395 Å, I 15
(1 2 2), 1.235 Å, I 35
(3 1 -2), 1.222 Å, I 14

2.
Calculated PXRD pattern
Compound: TbY2Ga4
Radiation: Cu Kα (λ = 1.5418 Å)
Structure: a crystal structure in Alexandria, relaxed with PBE
Intensities are scaled so that the largest is 100.

a b c (Å): 4.1371 4.2655 18.2540
angles (deg): 90.00 90.00 90.00
Space group Immm (No. 71)
Unique sites:
Tb1 0.0000 0.0000 0.0000 [2 per cell]
Y1 0.0000 0.5000 0.3154 [4 per cell]
Ga1 0.0000 0.0000 0.4332 [4 per cell]
Ga2 0.0000 0.5000 0.1463 [4 per cell]

Principal peaks in the range 15° ≤ 2θ ≤ 90°, low angle first:
(0 0 6), 3.042 Å, I 14
(1 1 2), 2.824 Å, I 100
(0 1 5), 2.774 Å, I 46
(1 1 4), 2.489 Å, I 32
(1 0 7), 2.206 Å, I 35
(0 2 0), 2.133 Å, I 26
(2 0 0), 2.069 Å, I 23
(2 1 5), 1.658 Å, I 19
(1 2 7), 1.533 Å, I 22
(2 2 0), 1.485 Å, I 16